Calculated powder diffractogram of LiZn3Au6 for Cu Kα, 1.54184 Å, from a crystal structure in Alexandria, relaxed with GGA-PBE.

```
data_LiZn3Au6
_chemical_formula_sum 'Li2 Zn6 Au12'
_space_group_name_H-M_alt 'P 1'
_space_group_IT_number 1
_cell_length_a 8.7118
_cell_length_b 4.1649
_cell_length_c 9.1941
_cell_angle_alpha 90.00
_cell_angle_beta 94.92
_cell_angle_gamma 90.00
loop_
_space_group_symop_operation_xyz
'x,y,z'
loop_
_atom_site_label
_atom_site_type_symbol
_atom_site_fract_x
_atom_site_fract_y
_atom_site_fract_z
_atom_site_occupancy
Li1 Li 0.0533 0.2500 0.3949 1
Li2 Li 0.9467 0.7500 0.6051 1
Zn1 Zn 0.2446 0.2500 0.0211 1
Zn2 Zn 0.3489 0.7500 0.8067 1
Zn3 Zn 0.4473 0.2500 0.6044 1
Zn4 Zn 0.5527 0.7500 0.3956 1
Zn5 Zn 0.6511 0.2500 0.1933 1
Zn6 Zn 0.7554 0.7500 0.9789 1
Au1 Au 0.0662 0.7500 0.9028 1
Au2 Au 0.1497 0.7500 0.2121 1
Au3 Au 0.1586 0.2500 0.7034 1
Au4 Au 0.2544 0.7500 0.5126 1
Au5 Au 0.3679 0.2500 0.3141 1
Au6 Au 0.4618 0.7500 0.1010 1
Au7 Au 0.5382 0.2500 0.8990 1
Au8 Au 0.6321 0.7500 0.6859 1
Au9 Au 0.7456 0.2500 0.4874 1
Au10 Au 0.8414 0.7500 0.2966 1
Au11 Au 0.8503 0.2500 0.7879 1
Au12 Au 0.9338 0.2500 0.0972 1
```

Largest 6 diffraction maxima, in order of falling intensity, 2θ from 10° to 90°:
- (3 1 -1), d 2.340, 38.46 deg, I = 100
- (1 1 3), d 2.327, 38.69 deg, I = 97
- (0 2 0), d 2.082, 43.46 deg, I = 39
- (2 0 -4), d 2.101, 43.05 deg, I = 36
- (1 1 -2), d 2.958, 30.21 deg, I = 34
- (2 0 1), d 3.797, 23.43 deg, I = 32